Sr2NbIrN4O2: calculated powder XRD pattern (Cu Kα (weighted mean of Kα1 and Kα2)), based on a cell relaxed with GGA-PBE.
Intensities are scaled so that the largest is 100.

The 8 most intense peaks (15° ≤ 2θ ≤ 90°), low angle first:
| index | Position (°2θ) | I (rel.) |
| --- | --- | --- |
| 1 0 -1 | 19.18 | 15.8 |
| 1 1 0 | 22.25 | 12.7 |
| 1 1 -2 | 31.54 | 100.0 |
| 2 0 0 | 31.67 | 50.4 |
| 0 0 4 | 45.01 | 13.6 |
| 2 -2 0 | 45.40 | 28.5 |
| 0 2 -4 | 56.05 | 13.7 |
| 1 -3 2 | 56.31 | 24.7 |

Cell and atoms:
Unit cell a=5.6449 b=5.6567 c=8.0568 alpha=89.94 beta=89.88 gamma=89.91
Atoms (fractional coordinates):
Sr 0.0000 0.0000 0.0000
Sr 0.0098 0.9983 0.5008
Sr 0.4932 0.5095 0.9987
Sr 0.5027 0.5085 0.4996
Nb 0.5006 0.0045 0.7558
Nb 0.9955 0.4976 0.2332
Ir 0.5141 0.0131 0.2680
Ir 0.9992 0.4990 0.7323
N 0.0123 0.4725 0.4986
N 0.2455 0.2570 0.7649
N 0.2474 0.7461 0.7436
N 0.4946 0.0206 0.4986
N 0.7324 0.2639 0.2424
N 0.7561 0.2552 0.7591
N 0.7580 0.7447 0.7363
N 0.9968 0.5220 0.9970
O 0.2408 0.2242 0.2323
O 0.2851 0.7282 0.2629
O 0.5146 0.9657 0.0122
O 0.7794 0.7807 0.2768